For FeCo3F8, the GGA+U geometry in Alexandria gives the computed powder diffraction line list in this record (copper Kα).

Top 10 peaks for 10 to 90 degrees two-theta, by angle:
| Position (°2θ) | I_rel |
| --- | --- |
| 18.6 | 85 |
| 23.3 | 100 |
| 34.0 | 34 |
| 36.9 | 37 |
| 43.7 | 66 |
| 47.1 | 13 |
| 51.8 | 18 |
| 58.1 | 12 |
| 58.3 | 12 |
| 58.5 | 33 |

Crystal structure
a b c (Å): 5.590 5.590 6.332
angles (deg): 90.00 90.00 121.34
Sites, in units of the cell vectors:
Fe 0.000 0.000 0.000
Co 0.000 0.000 0.500
Co 0.000 0.500 0.257
Co 0.500 0.000 0.743
F 0.204 0.288 0.262
F 0.208 0.792 0.000
F 0.213 0.787 0.500
F 0.288 0.204 0.738
F 0.712 0.796 0.738
F 0.787 0.213 0.500
F 0.792 0.208 0.000
F 0.796 0.712 0.262